(1)
Computed powder diffraction line list
Compound: YScP2
Radiation: copper Kα
Structure: a crystal structure in Alexandria, relaxed with GGA-PBE
Peak positions follow from Bragg's law for the DFT cell and can differ from measured ones.

a b c (Å): 3.8544 3.8544 19.7397
angles (deg): 90.00 90.00 120.00
Space group R3m (No. 160, hexagonal axes)
Inequivalent atoms, fractional coordinates:
Y  0.0000  0.0000  0.0000 x3
Sc  0.0000  0.0000  0.8283 x3
P  0.0000  0.0000  0.2413 x3
P  0.0000  0.0000  0.4205 x3

The 10 most intense peaks (2θ = 5–70°), low angle first:
- hkl 0 0 3, 13.46°, I = 16
- hkl 1 0 1, 27.09°, I = 63
- hkl 0 1 2, 28.22°, I = 39
- hkl 1 0 4, 32.38°, I = 35
- hkl 0 1 5, 35.21°, I = 100
- hkl 1 0 7, 41.94°, I = 43
- hkl 1 1 0, 47.16°, I = 54
- hkl 0 2 1, 55.24°, I = 17
- hkl 0 0 12, 55.88°, I = 15
- hkl 2 0 5, 60.20°, I = 19

(2)
Computed powder diffraction line list
Compound: Tb5Sm3P8
Radiation: copper Kα
Structure: a crystal structure in Alexandria, relaxed with GGA-PBE
Peak positions follow from Bragg's law for the DFT cell and can differ from measured ones.

a b c (Å): 8.1155 8.1155 19.8813
angles (deg): 90.00 90.00 120.00
Space group R-3m (No. 166, hexagonal axes)
Inequivalent atoms, fractional coordinates:
Tb  0.0000  0.0000  0.0000 x3
Tb  0.0000  0.0000  0.5000 x3
Tb  0.0000  0.5000  0.0000 x9
Sm  0.0000  0.5000  0.5000 x9
P  0.0000  0.0000  0.2516 x6
P  0.0021  0.5011  0.2511 x18

The 6 most intense peaks (2θ = 5–70°), low angle first:
- hkl 2 0 2, 26.91°, I = 85
- hkl 0 2 4, 31.17°, I = 100
- hkl 2 2 0, 44.66°, I = 73
- hkl 2 2 6, 52.92°, I = 41
- hkl 4 0 4, 55.47°, I = 26
- hkl 0 4 8, 65.01°, I = 12

(3)
Computed powder diffraction line list
Compound: LiCaNb4N8
Radiation: copper Kα
Structure: a crystal structure in Alexandria, relaxed with GGA-PBE
Peak positions follow from Bragg's law for the DFT cell and can differ from measured ones.

a b c (Å): 6.3783 6.3783 15.6939
angles (deg): 90.00 90.00 120.00
Space group R3m (No. 160, hexagonal axes)
Inequivalent atoms, fractional coordinates:
Li  0.0000  0.0000  0.0000 x3
Ca  0.0000  0.0000  0.3793 x3
Nb  0.0000  0.0000  0.6243 x3
Nb  0.1743  0.3485  0.8314 x9
N  0.0000  0.0000  0.2376 x3
N  0.0000  0.0000  0.7591 x3
N  0.0016  0.5008  0.2459 x9
N  0.0430  0.5215  0.7662 x9

The 10 most intense peaks (2θ = 5–70°), low angle first:
- hkl 0 0 3, 16.95°, I = 59
- hkl 0 1 2, 19.65°, I = 40
- hkl 1 0 4, 27.90°, I = 64
- hkl 0 1 5, 32.87°, I = 84
- hkl 0 2 1, 32.93°, I = 100
- hkl 2 0 2, 34.42°, I = 23
- hkl 0 2 4, 39.92°, I = 26
- hkl 0 2 7, 52.61°, I = 50
- hkl 2 0 8, 57.63°, I = 34
- hkl 2 2 0, 57.82°, I = 34

(4)
Computed powder diffraction line list
Compound: CaZrBr6
Radiation: copper Kα
Structure: a crystal structure in Alexandria, relaxed with GGA-PBE
Peak positions follow from Bragg's law for the DFT cell and can differ from measured ones.

a b c (Å): 6.9258 13.2131 6.8967
angles (deg): 90.00 107.51 90.00
Space group C2/m (No. 12)
Inequivalent atoms, fractional coordinates:
Ca  0.0000  0.0000  0.0000 x2
Zr  0.0000  0.5000  0.5000 x2
Br  0.2285  0.3570  0.7319 x8
Br  0.2380  0.5000  0.2658 x4

The 10 most intense peaks (2θ = 5–70°), low angle first:
- hkl 0 2 0, 13.41°, I = 62
- hkl 1 1 -1, 17.27°, I = 36
- hkl 1 3 -1, 25.78°, I = 44
- hkl 2 0 0, 27.00°, I = 22
- hkl 0 0 2, 27.12°, I = 22
- hkl 1 3 1, 29.83°, I = 100
- hkl 2 0 -2, 32.12°, I = 45
- hkl 0 4 2, 38.59°, I = 19
- hkl 2 0 2, 44.33°, I = 49
- hkl 1 3 -3, 44.47°, I = 31

(5)
Computed powder diffraction line list
Compound: Pm4Dy3Ni4
Radiation: copper Kα
Structure: a crystal structure in Alexandria, relaxed with GGA-PBE
Peak positions follow from Bragg's law for the DFT cell and can differ from measured ones.

a b c (Å): 4.6013 7.5806 15.1006
angles (deg): 90.00 90.00 90.00
Space group Immm (No. 71)
Inequivalent atoms, fractional coordinates:
Pm  0.0000  0.2145  0.1672 x8
Dy  0.0000  0.0000  0.3975 x4
Dy  0.0000  0.5000  0.5000 x2
Ni  0.0000  0.3437  0.0000 x4
Ni  0.0000  0.5000  0.2942 x4

The 10 most intense peaks (2θ = 5–70°), low angle first:
- hkl 1 0 3, 26.27°, I = 38
- hkl 1 2 1, 31.14°, I = 100
- hkl 0 1 5, 31.90°, I = 29
- hkl 1 1 4, 32.88°, I = 58
- hkl 1 2 3, 35.51°, I = 47
- hkl 2 0 0, 39.16°, I = 41
- hkl 0 3 3, 39.92°, I = 19
- hkl 0 2 6, 43.15°, I = 15
- hkl 2 1 5, 51.36°, I = 15
- hkl 1 3 6, 55.25°, I = 14

(6)
Computed powder diffraction line list
Compound: LaTb2HgO
Radiation: copper Kα
Structure: a crystal structure in Alexandria, relaxed with GGA-PBE
Peak positions follow from Bragg's law for the DFT cell and can differ from measured ones.

a b c (Å): 4.8315 4.8315 5.0044
angles (deg): 90.00 90.00 90.00
Space group P4/mmm (No. 123)
Inequivalent atoms, fractional coordinates:
La  0.0000  0.0000  0.0000 x1
Tb  0.0000  0.5000  0.5000 x2
Hg  0.5000  0.5000  0.0000 x1
O  0.0000  0.0000  0.5000 x1

The 10 most intense peaks (2θ = 5–70°), low angle first:
- hkl 1 0 1, 25.63°, I = 3
- hkl 1 1 1, 31.71°, I = 100
- hkl 0 0 2, 35.89°, I = 20
- hkl 2 0 0, 37.22°, I = 36
- hkl 2 1 1, 45.74°, I = 1
- hkl 2 0 2, 52.66°, I = 27
- hkl 2 2 0, 53.65°, I = 13
- hkl 1 1 3, 61.90°, I = 15
- hkl 3 1 1, 63.68°, I = 28
- hkl 2 2 2, 66.25°, I = 13

(7)
Computed powder diffraction line list
Compound: K5AgClO2
Radiation: copper Kα
Structure: a crystal structure in Alexandria, relaxed with GGA-PBE
Peak positions follow from Bragg's law for the DFT cell and can differ from measured ones.

a b c (Å): 5.4008 5.4008 9.3341
angles (deg): 90.00 90.00 90.00
Space group P4/mmm (No. 123)
Inequivalent atoms, fractional coordinates:
K  0.0000  0.0000  0.0000 x1
K  0.0000  0.5000  0.2780 x4
Ag  0.0000  0.0000  0.5000 x1
Cl  0.5000  0.5000  0.0000 x1
O  0.0000  0.0000  0.2750 x2

The 10 most intense peaks (2θ = 5–70°), low angle first:
- hkl 1 0 0, 16.41°, I = 53
- hkl 1 0 1, 18.98°, I = 42
- hkl 1 1 2, 30.24°, I = 100
- hkl 2 0 0, 33.18°, I = 66
- hkl 2 1 0, 37.24°, I = 19
- hkl 0 0 4, 38.54°, I = 28
- hkl 2 2 0, 47.63°, I = 24
- hkl 2 0 4, 51.77°, I = 26
- hkl 3 1 2, 57.46°, I = 28
- hkl 2 2 4, 62.89°, I = 19

(8)
Computed powder diffraction line list
Compound: KPr2Tc2N6
Radiation: copper Kα
Structure: a crystal structure in Alexandria, relaxed with GGA-PBE
Peak positions follow from Bragg's law for the DFT cell and can differ from measured ones.

a b c (Å): 6.2825 6.7959 6.8168
angles (deg): 96.83 114.02 115.73
Space group P-1 (No. 2)
Inequivalent atoms, fractional coordinates:
K  0.0000  0.0000  0.0000 x1
Pr  0.3650  0.6723  0.2818 x2
Tc  0.2241  0.6704  0.6817 x2
N  0.1328  0.6705  0.9068 x2
N  0.2811  0.9044  0.5759 x2
N  0.4642  0.5863  0.7084 x2

The 10 most intense peaks (2θ = 5–70°), low angle first:
- hkl 0 1 0, 15.51°, I = 52
- hkl 1 -1 0, 16.50°, I = 85
- hkl 1 -1 1, 25.02°, I = 42
- hkl 1 -2 0, 26.47°, I = 100
- hkl 1 1 0, 29.80°, I = 80
- hkl 1 1 -2, 30.16°, I = 40
- hkl 0 0 2, 30.77°, I = 29
- hkl 2 -1 0, 31.45°, I = 35
- hkl -2 1 2, 33.51°, I = 32
- hkl 0 3 0, 47.76°, I = 21